Starting from a crystal structure in the Materials Project, relaxed with GGA+U, the X-ray powder pattern of BaCaCo4O12 was computed for Cu Ka.
Neutral-atom scattering factors, no anomalous dispersion.

Crystal structure
```
data_BaCaCo4O12
_chemical_formula_sum 'Ba1 Ca1 Co4 O12'
_space_group_name_H-M_alt 'P 4/m m m'
_space_group_IT_number 123
_space_group_name_Hall '-P 4 2'
_cell_length_a 5.3748
_cell_length_b 5.3748
_cell_length_c 7.5536
_cell_angle_alpha 90.00
_cell_angle_beta 90.00
_cell_angle_gamma 90.00
loop_
_atom_site_label
_atom_site_type_symbol
_atom_site_fract_x
_atom_site_fract_y
_atom_site_fract_z
_atom_site_occupancy
Ba1 Ba 0.0000 0.0000 0.0000 1
Ca1 Ca 0.5000 0.5000 0.5000 1
Co1 Co 0.0000 0.5000 0.2531 1
O1 O 0.0000 0.5000 0.0000 1
O2 O 0.0000 0.5000 0.5000 1
O3 O 0.2579 0.2579 0.2622 1
```

Top 8 peaks for 10° ≤ 2θ ≤ 90°, in order of falling intensity:
d [Å], I_rel, hkl
2.679, 1000, 1 1 2
4.379, 864, 1 0 1
2.687, 508, 2 0 0
1.900, 504, 2 2 0
1.550, 374, 3 1 2
2.291, 301, 2 1 1
1.339, 267, 2 2 4
1.888, 242, 0 0 4



Starting from a crystal structure in the Materials Project, relaxed with GGA+U, the X-ray powder pattern of Li6Mn15O32 was computed for Cu Ka.
Neutral-atom scattering factors, no anomalous dispersion.

Crystal structure
```
data_Li6Mn15O32
_chemical_formula_sum 'Li12 Mn30 O64'
_space_group_name_H-M_alt 'C 1 2/m 1'
_space_group_IT_number 12
_space_group_name_Hall '-C 2y'
_cell_length_a 10.0609
_cell_length_b 5.7721
_cell_length_c 19.2404
_cell_angle_alpha 90.00
_cell_angle_beta 100.14
_cell_angle_gamma 90.00
loop_
_atom_site_label
_atom_site_type_symbol
_atom_site_fract_x
_atom_site_fract_y
_atom_site_fract_z
_atom_site_occupancy
Li1 Li 0.0251 0.0000 0.0914 1
Li2 Li 0.2168 0.0000 0.6561 1
Li3 Li 0.2173 0.5000 0.1508 1
Mn1 Mn 0.0000 0.0000 0.5000 1
Mn2 Mn 0.0006 0.2511 0.7500 1
Mn3 Mn 0.1242 0.5000 0.8797 1
Mn4 Mn 0.1268 0.0000 0.3769 1
Mn5 Mn 0.2481 0.5000 0.7498 1
Mn6 Mn 0.2500 0.2500 0.0000 1
Mn7 Mn 0.2500 0.2500 0.5000 1
O1 O 0.0441 0.0000 0.6908 1
O2 O 0.0443 0.5000 0.1899 1
O3 O 0.0656 0.5000 0.6989 1
O4 O 0.0669 0.0000 0.1979 1
O5 O 0.0745 0.2194 0.4413 1
O6 O 0.0853 0.2659 0.9342 1
O7 O 0.1773 0.2240 0.3088 1
O8 O 0.1779 0.2746 0.8069 1
O9 O 0.1838 0.0000 0.5526 1
O10 O 0.1979 0.5000 0.0506 1
O11 O 0.2003 0.0000 0.0595 1
O12 O 0.2060 0.5000 0.5586 1
```

Top 8 peaks for 10° ≤ 2θ ≤ 90°, in order of falling intensity:
d [Å], I_rel, hkl
4.733, 1000, 2 0 -2
2.048, 527, 4 0 4
2.473, 256, 2 0 6
2.465, 156, 0 2 4
1.578, 103, 6 0 2
1.448, 100, 2 2 10
1.450, 98, 6 2 -2
1.574, 54, 1 3 -7



Starting from a crystal structure in the Materials Project, relaxed with GGA+U, the X-ray powder pattern of CsTaV2O8 was computed for Cu Ka.
Neutral-atom scattering factors, no anomalous dispersion.

Crystal structure
```
data_CsTaV2O8
_chemical_formula_sum 'Cs4 Ta4 V8 O32'
_space_group_name_H-M_alt 'P 1 21/m 1'
_space_group_IT_number 11
_space_group_name_Hall '-P 2yb'
_cell_length_a 9.3067
_cell_length_b 5.7119
_cell_length_c 16.9954
_cell_angle_alpha 90.00
_cell_angle_beta 105.59
_cell_angle_gamma 90.00
loop_
_atom_site_label
_atom_site_type_symbol
_atom_site_fract_x
_atom_site_fract_y
_atom_site_fract_z
_atom_site_occupancy
Cs1 Cs 0.0089 0.2500 0.1109 1
Cs2 Cs 0.4675 0.2500 0.3832 1
Ta1 Ta 0.0881 0.7500 0.6512 1
Ta2 Ta 0.4177 0.7500 0.8466 1
V1 V 0.1164 0.7500 0.2984 1
V2 V 0.2099 0.2500 0.5440 1
V3 V 0.2944 0.2500 0.9501 1
V4 V 0.3546 0.7500 0.1678 1
O1 O 0.0087 0.0071 0.2940 1
O2 O 0.1021 0.2500 0.4421 1
O3 O 0.1202 0.2500 0.9576 1
O4 O 0.1722 0.5050 0.5951 1
O5 O 0.1962 0.7500 0.2122 1
O6 O 0.2525 0.7500 0.3829 1
O7 O 0.2639 0.7500 0.7440 1
O8 O 0.2818 0.7500 0.0686 1
O9 O 0.3173 0.5034 0.8931 1
O10 O 0.3903 0.2500 0.5478 1
O11 O 0.4191 0.2500 0.0473 1
O12 O 0.4627 0.0067 0.1963 1
```

Top 8 peaks for 10° ≤ 2θ ≤ 90°, in order of falling intensity:
d [Å], I_rel, hkl
3.300, 1000, 2 1 -3
5.393, 333, 0 1 1
2.856, 230, 0 2 0
2.840, 226, 0 1 5
4.093, 210, 0 0 4
4.188, 157, 1 0 3
2.221, 146, 2 2 -4
4.442, 142, 1 1 -2



Starting from a crystal structure in the Materials Project, relaxed with GGA+U, the X-ray powder pattern of LiMnP4O12 was computed for Cu Ka.
Neutral-atom scattering factors, no anomalous dispersion.

Crystal structure
```
data_LiMnP4O12
_chemical_formula_sum 'Li4 Mn4 P16 O48'
_space_group_name_H-M_alt 'C 1 2/c 1'
_space_group_IT_number 15
_space_group_name_Hall '-C 2yc'
_cell_length_a 12.1544
_cell_length_b 8.1853
_cell_length_c 9.8893
_cell_angle_alpha 90.00
_cell_angle_beta 118.97
_cell_angle_gamma 90.00
loop_
_atom_site_label
_atom_site_type_symbol
_atom_site_fract_x
_atom_site_fract_y
_atom_site_fract_z
_atom_site_occupancy
Li1 Li 0.2500 0.2500 0.0000 1
Mn1 Mn 0.0000 0.0539 0.7500 1
P1 P 0.0109 0.2594 0.4787 1
P2 P 0.1996 0.4920 0.6986 1
O1 O 0.0341 0.1139 0.4036 1
O2 O 0.0381 0.2274 0.9079 1
O3 O 0.0815 0.3824 0.1507 1
O4 O 0.1400 0.3566 0.5593 1
O5 O 0.2006 0.0777 0.8227 1
O6 O 0.2292 0.4202 0.8490 1
```

Top 8 peaks for 10° ≤ 2θ ≤ 90°, in order of falling intensity:
d [Å], I_rel, hkl
2.974, 1000, 0 2 2
3.248, 932, 3 1 0
4.220, 573, 1 1 -2
4.628, 400, 2 0 -2
3.434, 364, 3 1 -2
5.317, 293, 2 0 0
2.658, 257, 4 0 0
2.077, 169, 1 3 -3